Starting from a PBE+U-relaxed structure, the X-ray diffraction stick pattern of NaSrPrWO6 was computed for a wavelength of 1.5418 Å.
Lines closer than 0.1° are merged.

Atomic structure:
a = 6.052 Å, b = 6.052 Å, c = 6.052 Å
α = 60.00°, β = 60.00°, γ = 60.00°
Positions (direct):
Na1 0.000 0.000 0.000
Sr1 0.500 0.500 0.500
Pr1 0.250 0.250 0.250
W1 0.750 0.750 0.750
O1 0.522 0.522 0.978
O2 0.522 0.978 0.522
O3 0.522 0.978 0.978
O4 0.978 0.522 0.522
O5 0.978 0.522 0.978
O6 0.978 0.978 0.522

Main lines, in order of rising 2θ (5 to 70 degrees two-theta):
2θ (°)	I/Imax
17.9	9.4
20.8	44.5
29.5	100.0
34.8	4.2
42.2	32.0
47.5	18.9
52.4	40.6
61.3	19.7
65.4	8.8
69.4	18.6